1.
This entry pairs a crystal structure of PrBiN2O with its theoretical powder X-ray diffraction pattern. Radiation: copper Kα. Structure: a DFT-relaxed cell (GGA-PBE, OQMD).
Intensities are scaled so that the largest is 100.

Atomic structure:
Unit cell a=8.506 b=8.267 c=11.907 alpha=90.00 beta=133.90 gamma=90.00
Space group P2_1/c (No. 14)
Asymmetric unit:
Pr 0.050 0.247 0.030 x4
Pr 0.445 0.735 0.482 x4
Bi 0.021 0.006 0.264 x4
Bi 0.499 0.503 0.241 x4
N 0.057 0.743 0.719 x4
N 0.199 0.566 0.003 x4
N 0.286 0.084 0.288 x4
N 0.446 0.249 0.663 x4
O 0.204 0.556 0.502 x4
O 0.314 0.037 0.816 x4

Top 10 peaks for 2θ from 10° to 80°, low angle first:
| two_theta | intensity | hkl |
| --- | --- | --- |
| 29.14 | 31 | 2 0 0 |
| 30.02 | 100 | 0 2 2 |
| 30.16 | 66 | 2 2 -2 |
| 42.13 | 14 | 0 0 4 |
| 42.53 | 13 | 4 0 -4 |
| 43.80 | 15 | 0 4 0 |
| 53.22 | 15 | 2 2 -6 |
| 53.48 | 28 | 4 2 -6 |
| 54.02 | 14 | 2 4 -4 |
| 62.40 | 12 | 4 0 -8 |

=====

2.
This entry pairs a crystal structure of PrBiN2O with its theoretical powder X-ray diffraction pattern. Radiation: copper Kα. Structure: a DFT-relaxed cell (GGA-PBE, OQMD).
Intensities are scaled so that the largest is 100.

Atomic structure:
Unit cell a=3.828 b=4.014 c=5.259 alpha=90.00 beta=90.07 gamma=90.00
Space group Pm (No. 6)
Asymmetric unit:
Pr 0.000 0.000 0.000 x1
Bi 0.501 0.500 0.461 x1
N 0.001 0.500 0.277 x1
N 0.498 0.500 0.859 x1
O 0.501 0.000 0.291 x1

Top 10 peaks for 2θ from 10° to 80°, low angle first:
| two_theta | intensity | hkl |
| --- | --- | --- |
| 27.96 | 100 | 0 1 1 |
| 28.85 | 95 | 1 0 1 |
| 32.32 | 68 | 1 1 0 |
| 34.09 | 27 | 0 0 2 |
| 45.18 | 19 | 0 2 0 |
| 47.51 | 16 | 2 0 0 |
| 47.69 | 55 | 1 1 2 |
| 54.50 | 33 | 1 2 1 |
| 56.03 | 30 | 2 1 1 |
| 57.82 | 26 | 1 0 3 |

=====

3.
This entry pairs a crystal structure of PrBiN2O with its theoretical powder X-ray diffraction pattern. Radiation: copper Kα. Structure: a DFT-relaxed cell (GGA-PBE, OQMD).
Intensities are scaled so that the largest is 100.

Atomic structure:
Unit cell a=8.059 b=8.660 c=8.756 alpha=87.73 beta=89.80 gamma=88.98
Space group P1 (No. 1)
Asymmetric unit:
Pr 0.000 0.000 0.000 x1
Pr 0.014 0.542 0.060 x1
Pr 0.052 0.506 0.488 x1
Pr 0.066 0.048 0.549 x1
Pr 0.490 0.518 0.049 x1
Pr 0.518 0.963 0.002 x1
Pr 0.548 0.085 0.546 x1
Pr 0.575 0.529 0.499 x1
Bi 0.283 0.287 0.799 x1
Bi 0.284 0.746 0.751 x1
Bi 0.286 0.788 0.302 x1
Bi 0.290 0.243 0.257 x1
Bi 0.775 0.805 0.291 x1
Bi 0.780 0.260 0.247 x1
Bi 0.782 0.302 0.797 x1
Bi 0.782 0.760 0.749 x1
N 0.026 0.792 0.376 x1
N 0.031 0.196 0.792 x1
N 0.034 0.851 0.757 x1
N 0.040 0.256 0.173 x1
N 0.232 0.523 0.869 x1
N 0.307 0.660 0.528 x1
N 0.320 0.019 0.375 x1
N 0.388 0.225 0.023 x1
N 0.532 0.324 0.700 x1
N 0.533 0.321 0.328 x1
N 0.533 0.727 0.220 x1
N 0.534 0.723 0.848 x1
N 0.677 0.823 0.525 x1
N 0.745 0.029 0.174 x1
N 0.758 0.388 0.021 x1
N 0.833 0.524 0.679 x1
O 0.228 0.287 0.521 x1
O 0.237 0.841 0.054 x1
O 0.239 0.525 0.234 x1
O 0.336 0.013 0.735 x1
O 0.730 0.034 0.813 x1
O 0.826 0.523 0.314 x1
O 0.828 0.207 0.494 x1
O 0.837 0.761 0.029 x1

Top 10 peaks for 2θ from 10° to 80°, low angle first:
| two_theta | intensity | hkl |
| --- | --- | --- |
| 28.44 | 45 | 0 2 2 |
| 29.61 | 58 | 0 2 -2 |
| 30.08 | 100 | 2 0 2 |
| 30.20 | 50 | 2 0 -2 |
| 30.59 | 47 | 2 -2 0 |
| 32.00 | 18 | 0 1 3 |
| 41.28 | 20 | 0 0 4 |
| 41.76 | 19 | 0 4 0 |
| 45.00 | 20 | 4 0 0 |
| 54.50 | 18 | 4 2 -2 |

=====

Which formula does entry 2 have? PrBiN2O

=====

Which formula does entry 1 have? PrBiN2O